Diffraction record for Na10B13C7. The powder diffractogram is simulated, not measured: it uses a structure optimized by DFT (PBE) and CuKα.

Most intense lines, 2θ from 10° to 80°, by angle:
- d = 2.532 Å, 2θ 35.46, I = 10
- d = 2.470 Å, 2θ 36.38, I = 17
- d = 2.178 Å, 2θ 41.47, I = 51
- d = 2.138 Å, 2θ 42.28, I = 100
- d = 2.135 Å, 2θ 42.34, I = 38
- d = 1.615 Å, 2θ 57.02, I = 10
- d = 1.449 Å, 2θ 64.26, I = 18
- d = 1.414 Å, 2θ 66.05, I = 8
- d = 1.233 Å, 2θ 77.39, I = 13
- d = 1.214 Å, 2θ 78.87, I = 6

Structural model:
```
Na10B13C7
1.0
7.0724 -2.5318 0.0000
7.0724 2.5318 0.0000
-5.6586 0.0000 8.5390
Na B C
10 13 7
Direct
0.0013 0.0011 0.2536
0.1976 0.2011 0.7482
0.2018 0.2018 0.2538
0.3946 0.4001 0.7432
0.3992 0.4024 0.2517
0.5976 0.6008 0.7483
0.5999 0.6054 0.2568
0.7982 0.7982 0.7462
0.7989 0.8024 0.2518
0.9989 0.9987 0.7464
0.0290 0.3707 0.5000
0.0362 0.3557 0.0001
0.1765 0.8235 0.0000
0.2294 0.5710 0.5001
0.3668 0.0253 0.0001
0.4290 0.7706 0.4999
0.5377 0.2714 0.9998
0.6293 0.9710 0.5000
0.6443 0.9638 0.9999
0.7286 0.4623 0.0002
0.8292 0.1708 0.5000
0.8475 0.1525 0.0000
0.9747 0.6332 0.9999
0.1639 0.8361 0.5000
0.2334 0.5705 0.9999
0.3637 0.0359 0.4996
0.4295 0.7666 0.0001
0.5641 0.2362 0.5002
0.7638 0.4359 0.4998
0.9641 0.6363 0.5004
```